(1)
The following is a calculated powder XRD pattern of PrSm2DyTe6. It was derived from a cell relaxed with PBE, using Cu Kα.
Intensities are scaled so that the largest is 100.

The 10 most intense peaks (10 to 90 degrees two-theta), in order of falling intensity:
2theta  Rel. int.  hkl
33.9  100.0  2 -1 6
25.9  97.6  2 -1 3
39.7  65.8  3 0 0
15.4  34.6  0 1 2
21.1  27.4  1 0 4
53.2  26.6  2 2 6
68.4  22.9  5 -1 6
31.1  22.8  0 2 4
44.5  22.5  1 1 9
66.7  19.7  3 0 12

Structural model:
abc: 7.8625 7.8625 21.3948
angles: 90.00 90.00 120.00
Space group R3 (No. 146, hexagonal axes)
One atom of each set of equivalent atoms:
Pr 0.0000 0.0000 0.0000 (multiplicity 3)
Sm 0.0000 0.0000 0.3078 (multiplicity 3)
Sm 0.0000 0.0000 0.8102 (multiplicity 3)
Dy 0.0000 0.0000 0.4970 (multiplicity 3)
Te 0.0065 0.6981 0.4045 (multiplicity 9)
Te 0.0215 0.3485 0.5696 (multiplicity 9)

***

(2)
The following is a calculated powder XRD pattern of Pr2SmDy2Th2. It was derived from a cell relaxed with PBE, using Cu Kα.
Intensities are scaled so that the largest is 100.

The 10 most intense peaks (10 to 90 degrees two-theta), in order of falling intensity:
2theta  Rel. int.  hkl
32.0  100.0  3 1 1
32.2  99.3  1 1 -2
29.6  63.0  4 0 -1
29.9  61.9  0 2 0
42.6  47.7  4 2 -1
54.3  45.7  5 1 -3
58.7  24.9  2 0 -4
54.0  23.1  7 1 0
54.5  22.7  1 3 -2
49.2  13.9  2 0 3

Structural model:
abc: 12.6372 5.9853 6.2988
angles: 90.00 101.14 90.00
Space group C2/m (No. 12)
One atom of each set of equivalent atoms:
Pr 0.0805 0.0000 0.3105 (multiplicity 4)
Sm 0.0000 0.5000 0.0000 (multiplicity 2)
Dy 0.1449 0.5000 0.5839 (multiplicity 4)
Th 0.2167 0.0000 0.8683 (multiplicity 4)

***

(3)
The following is a calculated powder XRD pattern of PrSm5Dy2Th. It was derived from a cell relaxed with PBE, using Cu Kα.
Intensities are scaled so that the largest is 100.

The 10 most intense peaks (10 to 90 degrees two-theta), in order of falling intensity:
2theta  Rel. int.  hkl
31.9  100.0  1 5 2
30.2  46.8  1 1 3
31.4  44.2  2 0 0
27.6  21.3  0 6 1
56.2  20.5  3 5 2
58.6  15.4  1 11 3
61.1  14.3  2 6 5
42.3  13.7  2 6 1
51.0  12.3  0 6 5
34.0  11.1  0 0 4

Structural model:
abc: 5.7058 20.3650 10.5348
angles: 90.00 90.00 90.00
Space group Cmc2_1 (No. 36)
One atom of each set of equivalent atoms:
Pr 0.0000 0.0885 0.0000 (multiplicity 4)
Sm 0.0000 0.0227 0.2930 (multiplicity 4)
Sm 0.0000 0.1118 0.5803 (multiplicity 4)
Sm 0.0000 0.2053 0.2599 (multiplicity 4)
Sm 0.0000 0.2236 0.8691 (multiplicity 4)
Sm 0.0000 0.4841 0.5764 (multiplicity 4)
Dy 0.0000 0.3846 0.8735 (multiplicity 4)
Dy 0.0000 0.3858 0.2861 (multiplicity 4)
Th 0.0000 0.3004 0.5675 (multiplicity 4)

***

(4)
The following is a calculated powder XRD pattern of PrSm2DyTm4. It was derived from a cell relaxed with PBE, using Cu Kα.
Intensities are scaled so that the largest is 100.

The 10 most intense peaks (10 to 90 degrees two-theta), in order of falling intensity:
2theta  Rel. int.  hkl
30.4  100.0  2 2 0
41.1  88.8  2 2 4
27.0  45.3  0 0 4
61.4  27.2  4 0 4
64.7  23.3  2 2 8
54.0  20.0  4 0 0
81.2  12.3  4 0 8
70.1  12.3  4 4 4
63.3  8.3  4 4 0
87.8  7.0  4 8 0

Structural model:
abc: 6.7824 11.7725 13.2329
angles: 90.00 90.00 90.00
Space group Imma (No. 74)
One atom of each set of equivalent atoms:
Pr 0.0000 0.0000 0.0000 (multiplicity 4)
Sm 0.0000 0.0000 0.5000 (multiplicity 4)
Sm 0.2500 0.2500 0.2500 (multiplicity 4)
Dy 0.2500 0.2500 0.7500 (multiplicity 4)
Tm 0.0000 0.0021 0.7498 (multiplicity 8)
Tm 0.2494 0.2500 0.5022 (multiplicity 8)

***

(5)
The following is a calculated powder XRD pattern of PrSm2Dy4Tm. It was derived from a cell relaxed with PBE, using Cu Kα.
Intensities are scaled so that the largest is 100.

The 10 most intense peaks (10 to 90 degrees two-theta), in order of falling intensity:
2theta  Rel. int.  hkl
30.3  100.0  0 0 2
40.9  58.9  0 4 2
26.9  45.0  0 4 0
40.9  29.4  4 4 0
61.1  27.1  4 4 -4
64.4  22.9  0 8 2
53.7  13.4  4 0 2
69.7  12.2  8 4 -4
80.8  12.1  4 8 -4
87.3  10.3  8 0 -6

Structural model:
abc: 13.6460 13.2711 6.8187
angles: 90.00 119.97 90.00
Space group C2/c (No. 15)
One atom of each set of equivalent atoms:
Pr 0.2500 0.2500 0.0000 (multiplicity 4)
Sm 0.0000 0.0000 0.0000 (multiplicity 4)
Sm 0.2500 0.2500 0.5000 (multiplicity 4)
Dy 0.9999 0.2549 0.0004 (multiplicity 8)
Dy 0.2457 0.4998 0.4948 (multiplicity 8)
Tm 0.0000 0.5000 0.0000 (multiplicity 4)

***

(6)
The following is a calculated powder XRD pattern of Pr4SmDyTm2. It was derived from a cell relaxed with PBE, using Cu Kα.
Intensities are scaled so that the largest is 100.

The 10 most intense peaks (10 to 90 degrees two-theta), in order of falling intensity:
2theta  Rel. int.  hkl
30.2  100.0  1 1 2
34.7  17.4  0 2 0
34.8  17.2  2 0 0
35.6  16.1  0 0 4
59.4  14.8  1 3 2
59.6  14.6  3 1 2
60.7  13.8  1 1 6
62.8  12.4  2 2 4
49.9  12.4  2 2 0
50.5  12.0  0 2 4

Structural model:
abc: 5.1544 5.1762 10.0833
angles: 90.00 90.00 90.00
Space group Pmmm (No. 47)
One atom of each set of equivalent atoms:
Pr 0.0000 0.0000 0.2482 (multiplicity 2)
Pr 0.5000 0.5000 0.2490 (multiplicity 2)
Sm 0.5000 0.0000 0.5000 (multiplicity 1)
Dy 0.0000 0.5000 0.0000 (multiplicity 1)
Tm 0.0000 0.5000 0.5000 (multiplicity 1)
Tm 0.5000 0.0000 0.0000 (multiplicity 1)

***

(7)
The following is a calculated powder XRD pattern of Pr4Sm2Dy2Tm. It was derived from a cell relaxed with PBE, using Cu Kα.
Intensities are scaled so that the largest is 100.

The 10 most intense peaks (10 to 90 degrees two-theta), in order of falling intensity:
2theta  Rel. int.  hkl
30.1  100.0  3 1 1
34.8  34.0  0 2 0
59.6  29.0  9 1 0
50.3  24.1  6 0 2
35.1  16.6  0 0 3
59.9  14.2  3 1 4
62.6  12.4  6 2 2
50.1  12.2  6 2 -1
81.8  8.8  3 3 4
84.1  6.9  12 2 -2

Structural model:
abc: 15.4495 5.1491 8.0946
angles: 90.00 108.62 90.00
Space group C2/m (No. 12)
One atom of each set of equivalent atoms:
Pr 0.0543 0.0000 0.3302 (multiplicity 4)
Pr 0.2221 0.5000 0.3302 (multiplicity 4)
Sm 0.1116 0.5000 0.6710 (multiplicity 4)
Dy 0.1666 0.0000 0.9998 (multiplicity 4)
Tm 0.0000 0.5000 0.0000 (multiplicity 2)

***

(8)
The following is a calculated powder XRD pattern of PrSmDy2Tm4. It was derived from a cell relaxed with PBE, using Cu Kα.
Intensities are scaled so that the largest is 100.

The 10 most intense peaks (10 to 90 degrees two-theta), in order of falling intensity:
2theta  Rel. int.  hkl
30.9  100.0  4 0 0
35.9  67.2  2 2 2
61.3  42.7  6 2 2
31.0  32.9  0 0 4
51.5  24.1  0 4 0
51.7  23.8  4 0 4
61.5  14.1  2 2 6
64.4  12.3  8 0 0
84.1  11.9  10 2 -2
86.8  11.2  8 4 0

Structural model:
abc: 12.2879 7.0970 12.2366
angles: 90.00 109.57 90.00
Space group C2/m (No. 12)
One atom of each set of equivalent atoms:
Pr 0.2500 0.2500 0.0000 (multiplicity 4)
Sm 0.0000 0.0000 0.0000 (multiplicity 2)
Sm 0.0000 0.0000 0.5000 (multiplicity 2)
Dy 0.0000 0.5000 0.0000 (multiplicity 2)
Dy 0.0000 0.5000 0.5000 (multiplicity 2)
Dy 0.2500 0.2500 0.5000 (multiplicity 4)
Tm 0.0009 0.2502 0.2522 (multiplicity 8)
Tm 0.2494 0.5000 0.7477 (multiplicity 4)
Tm 0.2496 0.0000 0.7477 (multiplicity 4)

***

(9)
The following is a calculated powder XRD pattern of PrSm2DyTm. It was derived from a cell relaxed with PBE, using Cu Kα.
Intensities are scaled so that the largest is 100.

The 10 most intense peaks (10 to 90 degrees two-theta), in order of falling intensity:
2theta  Rel. int.  hkl
31.0  100.0  1 1 1
32.0  37.9  0 2 0
26.2  24.1  0 1 2
35.2  22.5  0 1 3
36.0  19.0  1 1 -2
62.0  19.0  1 1 -5
56.3  18.5  1 3 1
32.1  17.4  1 0 -2
52.1  15.3  1 2 3
20.7  15.2  0 0 2

Structural model:
abc: 3.6629 5.6010 8.5769
angles: 90.00 90.05 90.00
Space group P2/m (No. 10)
One atom of each set of equivalent atoms:
Pr 0.0000 0.0000 0.0000 (multiplicity 1)
Sm 0.0012 0.5000 0.3216 (multiplicity 2)
Dy 0.5000 0.5000 0.0000 (multiplicity 1)
Tm 0.5000 0.0000 0.5000 (multiplicity 1)

***

(10)
The following is a calculated powder XRD pattern of Pr2Sm2DyTm. It was derived from a cell relaxed with PBE, using Cu Kα.
Intensities are scaled so that the largest is 100.

The 10 most intense peaks (10 to 90 degrees two-theta), in order of falling intensity:
2theta  Rel. int.  hkl
31.3  100.0  0 2 0
31.1  92.4  2 1 1
55.6  35.3  2 3 1
44.7  33.8  2 2 2
61.6  29.0  4 2 0
55.8  19.3  0 3 3
74.1  14.8  2 4 2
79.4  13.8  4 3 3
65.4  11.8  0 4 0
87.9  10.9  4 4 0

Structural model:
abc: 7.0806 5.7089 9.8936
angles: 90.00 90.00 90.00
Space group Pmma (No. 51)
One atom of each set of equivalent atoms:
Pr 0.0000 0.0000 0.0000 (multiplicity 2)
Pr 0.2500 0.5000 0.1785 (multiplicity 2)
Sm 0.2500 0.0000 0.3325 (multiplicity 2)
Sm 0.2500 0.5000 0.8360 (multiplicity 2)
Dy 0.2500 0.0000 0.6578 (multiplicity 2)
Tm 0.0000 0.5000 0.5000 (multiplicity 2)

***

(11)
The following is a calculated powder XRD pattern of PrSmDy2Y2. It was derived from a cell relaxed with PBE, using Cu Kα.
Intensities are scaled so that the largest is 100.

The 10 most intense peaks (10 to 90 degrees two-theta), in order of falling intensity:
2theta  Rel. int.  hkl
28.8  100.0  2 2 0
29.9  89.3  0 6 0
30.1  82.8  0 3 1
33.7  80.1  2 4 0
40.9  59.3  2 3 1
31.1  54.6  1 2 1
35.7  52.1  1 4 1
16.7  42.5  1 2 0
26.5  32.3  0 1 1
64.8  30.6  2 4 2

Structural model:
abc: 6.6000 17.9473 3.4215
angles: 90.00 90.00 90.00
Space group Pnnm (No. 58)
One atom of each set of equivalent atoms:
Pr 0.0000 0.0000 0.0000 (multiplicity 2)
Sm 0.0000 0.5000 0.0000 (multiplicity 2)
Dy 0.2216 0.3516 0.5000 (multiplicity 4)
Y 0.2236 0.1859 0.0000 (multiplicity 4)

***

(12)
The following is a calculated powder XRD pattern of PrSmDyZn. It was derived from a cell relaxed with PBE, using Cu Kα.
Intensities are scaled so that the largest is 100.

The 10 most intense peaks (10 to 90 degrees two-theta), in order of falling intensity:
2theta  Rel. int.  hkl
32.0  100.0  1 0 2
35.0  49.0  1 1 0
60.8  31.4  2 1 2
26.6  18.9  1 0 1
50.3  17.4  2 0 0
47.1  15.2  1 1 3
30.5  12.5  0 0 3
58.3  12.1  1 0 5
55.0  10.3  1 1 4
80.6  9.7  2 1 5

Structural model:
abc: 3.6301 3.6301 8.7851
angles: 90.00 90.00 90.00
Space group P4mm (No. 99)
One atom of each set of equivalent atoms:
Pr 0.0000 0.0000 0.0000 (multiplicity 1)
Sm 0.5000 0.5000 0.6985 (multiplicity 1)
Dy 0.5000 0.5000 0.2933 (multiplicity 1)
Zn 0.0000 0.0000 0.4868 (multiplicity 1)